Diffraction record for Ho2TmCu4Sn4. The powder diffractogram is calculated, not measured: it uses DFT lattice parameters and positions (GGA-PBE) and copper Kα.

```
data_Ho2TmCu4Sn4
_chemical_formula_sum 'Ho4 Tm2 Cu8 Sn8'
_symmetry_space_group_name_H-M 'I m m m'
_symmetry_Int_Tables_number 71
_symmetry_space_group_name_Hall '-I 2 2'
_cell_length_a 4.441
_cell_length_b 6.915
_cell_length_c 14.640
_cell_angle_alpha 90.00
_cell_angle_beta 90.00
_cell_angle_gamma 90.00
loop_
_atom_site_label
_atom_site_type_symbol
_atom_site_fract_x
_atom_site_fract_y
_atom_site_fract_z
Ho1 Ho 0.000 0.000 0.131
Tm1 Tm 0.000 0.500 0.000
Cu1 Cu 0.000 0.189 0.329
Sn1 Sn 0.000 0.296 0.500
Sn2 Sn 0.000 0.500 0.216
```

Main lines, in order of falling intensity (15° ≤ 2θ ≤ 90°):
| Position (°2θ) | d (Å) | I (rel.) | hkl |
| --- | --- | --- | --- |
| 33.4 | 2.682 | 100.0 | 1 2 1 |
| 34.3 | 2.615 | 97.2 | 1 1 4 |
| 40.6 | 2.220 | 42.1 | 2 0 0 |
| 33.2 | 2.696 | 29.2 | 0 1 5 |
| 45.4 | 1.996 | 23.4 | 1 2 5 |
| 43.4 | 2.084 | 22.1 | 0 3 3 |
| 68.8 | 1.364 | 20.7 | 2 4 0 |
| 36.8 | 2.441 | 19.8 | 0 0 6 |